The following is a computed powder diffraction line list of Cs3CoF5. It was derived from a GGA+U-relaxed structure, using a wavelength of 1.5418 Å.

The 10 most intense peaks (2θ from 10° to 80°), in order of falling intensity:
d = 3.440 Å, 25.9 deg, intensity 100
d = 2.778 Å, 32.2 deg, intensity 59
d = 3.500 Å, 25.5 deg, intensity 41
d = 3.229 Å, 27.6 deg, intensity 33
d = 2.874 Å, 31.1 deg, intensity 28
d = 2.147 Å, 42.1 deg, intensity 24
d = 2.571 Å, 34.9 deg, intensity 23
d = 1.902 Å, 47.8 deg, intensity 20
d = 1.949 Å, 46.6 deg, intensity 18
d = 1.793 Å, 50.9 deg, intensity 16

Cell and atoms:
a b c (Å): 8.646 8.646 8.646
angles (deg): 123.91 123.91 83.35
Fractional coordinates of all 18 atoms:
Cs 0.180 0.680 0.859
Cs 0.250 0.250 0.000
Cs 0.320 0.180 0.500
Cs 0.680 0.820 0.500
Cs 0.750 0.750 0.000
Cs 0.820 0.320 0.141
Co 0.250 0.750 0.500
Co 0.750 0.250 0.500
F 0.000 0.000 0.000
F 0.025 0.791 0.500
F 0.209 0.709 0.234
F 0.291 0.525 0.500
F 0.475 0.975 0.766
F 0.500 0.500 0.000
F 0.525 0.025 0.234
F 0.709 0.475 0.500
F 0.791 0.291 0.766
F 0.975 0.209 0.500

The following is a computed powder diffraction line list of Cs4CoF6. It was derived from a GGA+U-relaxed structure, using a wavelength of 1.5418 Å.

The 10 most intense peaks (2θ from 10° to 80°), in order of falling intensity:
d = 3.236 Å, 27.6 deg, intensity 100
d = 3.616 Å, 24.6 deg, intensity 95
d = 2.411 Å, 37.3 deg, intensity 52
d = 1.887 Å, 48.2 deg, intensity 25
d = 1.910 Å, 47.6 deg, intensity 25
d = 2.865 Å, 31.2 deg, intensity 24
d = 2.551 Å, 35.2 deg, intensity 22
d = 2.366 Å, 38.0 deg, intensity 19
d = 2.646 Å, 33.9 deg, intensity 18
d = 4.007 Å, 22.2 deg, intensity 18

Cell and atoms:
a b c (Å): 8.018 8.018 8.018
angles (deg): 88.72 88.72 88.72
Fractional coordinates of all 22 atoms:
Cs 0.118 0.750 0.382
Cs 0.250 0.250 0.250
Cs 0.250 0.618 0.882
Cs 0.382 0.118 0.750
Cs 0.618 0.882 0.250
Cs 0.750 0.382 0.118
Cs 0.750 0.750 0.750
Cs 0.882 0.250 0.618
Co 0.000 0.000 0.000
Co 0.500 0.500 0.500
F 0.059 0.933 0.752
F 0.067 0.248 0.941
F 0.248 0.941 0.067
F 0.252 0.433 0.559
F 0.433 0.559 0.252
F 0.441 0.748 0.567
F 0.559 0.252 0.433
F 0.567 0.441 0.748
F 0.748 0.567 0.441
F 0.752 0.059 0.933
F 0.933 0.752 0.059
F 0.941 0.067 0.248

The following is a computed powder diffraction line list of Cs2HfCoF6. It was derived from a GGA+U-relaxed structure, using a wavelength of 1.5418 Å.

The 10 most intense peaks (2θ from 10° to 80°), in order of falling intensity:
d = 3.451 Å, 25.8 deg, intensity 100
d = 3.351 Å, 26.6 deg, intensity 46
d = 1.953 Å, 46.5 deg, intensity 38
d = 5.579 Å, 15.9 deg, intensity 30
d = 2.369 Å, 38.0 deg, intensity 29
d = 2.013 Å, 45.0 deg, intensity 20
d = 1.725 Å, 53.1 deg, intensity 20
d = 2.517 Å, 35.7 deg, intensity 17
d = 1.316 Å, 71.7 deg, intensity 12
d = 1.582 Å, 58.3 deg, intensity 12

Cell and atoms:
a b c (Å): 6.914 6.914 6.914
angles (deg): 122.03 122.03 86.53
Fractional coordinates of all 10 atoms:
Cs 0.250 0.750 0.500
Cs 0.750 0.250 0.500
Hf 0.000 0.000 0.000
Co 0.500 0.500 0.000
F 0.200 0.200 0.000
F 0.212 0.212 0.424
F 0.212 0.788 0.000
F 0.788 0.212 0.000
F 0.788 0.788 0.576
F 0.800 0.800 0.000

The following is a computed powder diffraction line list of CsHoCoF6. It was derived from a GGA+U-relaxed structure, using a wavelength of 1.5418 Å.

The 10 most intense peaks (2θ from 10° to 80°), in order of falling intensity:
d = 3.288 Å, 27.1 deg, intensity 100
d = 1.880 Å, 48.4 deg, intensity 73
d = 3.761 Å, 23.7 deg, intensity 56
d = 3.053 Å, 29.3 deg, intensity 45
d = 3.224 Å, 27.7 deg, intensity 37
d = 3.126 Å, 28.6 deg, intensity 28
d = 5.223 Å, 17.0 deg, intensity 28
d = 3.180 Å, 28.1 deg, intensity 27
d = 2.068 Å, 43.8 deg, intensity 27
d = 6.106 Å, 14.5 deg, intensity 26

Cell and atoms:
a b c (Å): 7.527 7.527 7.527
angles (deg): 120.03 117.55 92.12
Fractional coordinates of all 18 atoms:
Cs 0.348 0.098 0.250
Cs 0.652 0.902 0.750
Ho 0.000 0.500 0.500
Ho 0.500 0.500 0.000
Co 0.000 0.000 0.500
Co 0.000 0.500 0.000
F 0.061 0.368 0.197
F 0.061 0.864 0.692
F 0.076 0.326 0.750
F 0.329 0.136 0.697
F 0.329 0.632 0.192
F 0.348 0.598 0.750
F 0.652 0.402 0.250
F 0.671 0.368 0.808
F 0.671 0.864 0.303
F 0.924 0.674 0.250
F 0.939 0.136 0.308
F 0.939 0.632 0.803

The following is a computed powder diffraction line list of CsKCoF4. It was derived from a GGA+U-relaxed structure, using a wavelength of 1.5418 Å.

The 10 most intense peaks (2θ from 10° to 80°), in order of falling intensity:
d = 2.945 Å, 30.3 deg, intensity 100
d = 4.929 Å, 18.0 deg, intensity 95
d = 1.788 Å, 51.1 deg, intensity 40
d = 2.250 Å, 40.1 deg, intensity 33
d = 2.464 Å, 36.5 deg, intensity 32
d = 3.182 Å, 28.0 deg, intensity 29
d = 4.500 Å, 19.7 deg, intensity 27
d = 2.673 Å, 33.5 deg, intensity 26
d = 1.400 Å, 66.8 deg, intensity 17
d = 1.473 Å, 63.1 deg, intensity 17

Cell and atoms:
a b c (Å): 5.952 5.952 5.952
angles (deg): 115.37 115.37 98.22
Fractional coordinates of all 7 atoms:
Cs 0.000 0.000 0.000
K 0.500 0.500 0.000
Co 0.750 0.250 0.500
F 0.545 0.045 0.090
F 0.545 0.455 0.500
F 0.955 0.045 0.500
F 0.955 0.455 0.910

The following is a computed powder diffraction line list of CsLiCoF6. It was derived from a GGA+U-relaxed structure, using a wavelength of 1.5418 Å.

The 10 most intense peaks (2θ from 10° to 80°), in order of falling intensity:
d = 3.716 Å, 23.9 deg, intensity 100
d = 3.703 Å, 24.0 deg, intensity 49
d = 2.038 Å, 44.4 deg, intensity 30
d = 4.512 Å, 19.7 deg, intensity 24
d = 1.953 Å, 46.5 deg, intensity 17
d = 2.641 Å, 34.0 deg, intensity 15
d = 2.029 Å, 44.7 deg, intensity 14
d = 2.131 Å, 42.4 deg, intensity 14
d = 2.426 Å, 37.1 deg, intensity 13
d = 4.541 Å, 19.6 deg, intensity 13

Cell and atoms:
a b c (Å): 5.232 5.232 6.498
angles (deg): 90.06 90.06 120.41
Fractional coordinates of all 9 atoms:
Cs 0.000 0.000 0.000
Li 0.665 0.335 0.500
Co 0.334 0.666 0.500
F 0.035 0.389 0.341
F 0.041 0.644 0.661
F 0.356 0.959 0.339
F 0.364 0.401 0.663
F 0.599 0.636 0.337
F 0.611 0.965 0.659

The following is a computed powder diffraction line list of CsMnCoF6. It was derived from a GGA+U-relaxed structure, using a wavelength of 1.5418 Å.

The 10 most intense peaks (2θ from 10° to 80°), in order of falling intensity:
d = 3.153 Å, 28.3 deg, intensity 100
d = 3.259 Å, 27.4 deg, intensity 78
d = 1.865 Å, 48.8 deg, intensity 54
d = 3.730 Å, 23.9 deg, intensity 50
d = 3.179 Å, 28.1 deg, intensity 38
d = 2.078 Å, 43.6 deg, intensity 23
d = 3.117 Å, 28.6 deg, intensity 19
d = 2.998 Å, 29.8 deg, intensity 18
d = 1.999 Å, 45.4 deg, intensity 16
d = 3.883 Å, 22.9 deg, intensity 16

Cell and atoms:
a b c (Å): 7.469 7.469 7.469
angles (deg): 121.31 117.34 91.20
Fractional coordinates of all 18 atoms:
Cs 0.372 0.122 0.250
Cs 0.628 0.878 0.750
Mn 0.000 0.500 0.500
Mn 0.500 0.500 0.000
Co 0.000 0.000 0.500
Co 0.000 0.500 0.000
F 0.062 0.433 0.255
F 0.062 0.807 0.629
F 0.074 0.824 0.250
F 0.322 0.193 0.755
F 0.322 0.567 0.129
F 0.329 0.579 0.750
F 0.671 0.421 0.250
F 0.678 0.433 0.871
F 0.678 0.807 0.245
F 0.926 0.176 0.750
F 0.938 0.193 0.371
F 0.938 0.567 0.745

The following is a computed powder diffraction line list of CsNaCoF6. It was derived from a GGA+U-relaxed structure, using a wavelength of 1.5418 Å.

The 10 most intense peaks (2θ from 10° to 80°), in order of falling intensity:
d = 3.858 Å, 23.1 deg, intensity 100
d = 3.831 Å, 23.2 deg, intensity 49
d = 2.098 Å, 43.1 deg, intensity 25
d = 4.909 Å, 18.1 deg, intensity 21
d = 2.849 Å, 31.4 deg, intensity 18
d = 2.582 Å, 34.8 deg, intensity 14
d = 2.077 Å, 43.6 deg, intensity 12
d = 2.091 Å, 43.3 deg, intensity 11
d = 4.949 Å, 17.9 deg, intensity 10
d = 1.789 Å, 51.1 deg, intensity 10

Cell and atoms:
a b c (Å): 5.654 5.699 6.174
angles (deg): 89.80 89.59 60.27
Fractional coordinates of all 9 atoms:
Cs 0.000 0.000 0.000
Na 0.335 0.331 0.500
Co 0.667 0.666 0.501
F 0.406 0.657 0.668
F 0.411 0.931 0.332
F 0.657 0.932 0.669
F 0.661 0.409 0.332
F 0.931 0.410 0.669
F 0.936 0.659 0.333

The following is a computed powder diffraction line list of CsNdCoF6. It was derived from a GGA+U-relaxed structure, using a wavelength of 1.5418 Å.

The 10 most intense peaks (2θ from 10° to 80°), in order of falling intensity:
d = 3.350 Å, 26.6 deg, intensity 100
d = 3.800 Å, 23.4 deg, intensity 56
d = 1.898 Å, 47.9 deg, intensity 56
d = 3.080 Å, 29.0 deg, intensity 48
d = 3.265 Å, 27.3 deg, intensity 43
d = 3.174 Å, 28.1 deg, intensity 40
d = 2.098 Å, 43.1 deg, intensity 30
d = 3.199 Å, 27.9 deg, intensity 29
d = 5.237 Å, 16.9 deg, intensity 27
d = 2.484 Å, 36.2 deg, intensity 22

Cell and atoms:
a b c (Å): 7.606 7.606 7.606
angles (deg): 119.93 116.69 92.97
Fractional coordinates of all 18 atoms:
Cs 0.342 0.092 0.250
Cs 0.658 0.908 0.750
Nd 0.000 0.500 0.500
Nd 0.500 0.500 0.000
Co 0.000 0.000 0.500
Co 0.000 0.500 0.000
F 0.054 0.355 0.176
F 0.054 0.878 0.698
F 0.088 0.338 0.750
F 0.320 0.122 0.676
F 0.320 0.645 0.198
F 0.363 0.613 0.750
F 0.637 0.387 0.250
F 0.680 0.355 0.802
F 0.680 0.878 0.324
F 0.912 0.662 0.250
F 0.946 0.122 0.302
F 0.946 0.645 0.824

The following is a computed powder diffraction line list of CsTiCoOF5. It was derived from a GGA+U-relaxed structure, using a wavelength of 1.5418 Å.

The 10 most intense peaks (2θ from 10° to 80°), in order of falling intensity:
d = 3.171 Å, 28.1 deg, intensity 100
d = 3.734 Å, 23.8 deg, intensity 96
d = 3.132 Å, 28.5 deg, intensity 90
d = 1.867 Å, 48.8 deg, intensity 85
d = 3.219 Å, 27.7 deg, intensity 56
d = 3.206 Å, 27.8 deg, intensity 47
d = 2.040 Å, 44.4 deg, intensity 31
d = 3.013 Å, 29.6 deg, intensity 25
d = 2.413 Å, 37.3 deg, intensity 21
d = 2.009 Å, 45.1 deg, intensity 21

Cell and atoms:
a b c (Å): 7.474 7.474 7.474
angles (deg): 121.61 120.14 88.50
Fractional coordinates of all 18 atoms:
Cs 0.369 0.119 0.250
Cs 0.631 0.881 0.750
Ti 0.000 0.000 0.500
Ti 0.000 0.500 0.000
Co 0.000 0.500 0.500
Co 0.500 0.500 0.000
O 0.039 0.789 0.250
O 0.961 0.211 0.750
F 0.061 0.415 0.227
F 0.061 0.834 0.646
F 0.312 0.166 0.727
F 0.312 0.585 0.146
F 0.322 0.572 0.750
F 0.678 0.428 0.250
F 0.688 0.415 0.854
F 0.688 0.834 0.273
F 0.939 0.166 0.354
F 0.939 0.585 0.773

The following is a computed powder diffraction line list of CsTiCoOF5. It was derived from a GGA+U-relaxed structure, using a wavelength of 1.5418 Å.

The 10 most intense peaks (2θ from 10° to 80°), in order of falling intensity:
d = 3.173 Å, 28.1 deg, intensity 100
d = 3.200 Å, 27.9 deg, intensity 52
d = 3.738 Å, 23.8 deg, intensity 42
d = 1.869 Å, 48.7 deg, intensity 36
d = 2.031 Å, 44.6 deg, intensity 27
d = 3.046 Å, 29.3 deg, intensity 24
d = 1.858 Å, 49.0 deg, intensity 18
d = 3.717 Å, 23.9 deg, intensity 18
d = 2.425 Å, 37.1 deg, intensity 13
d = 2.024 Å, 44.8 deg, intensity 12

Cell and atoms:
a b c (Å): 7.439 7.427 10.636
angles (deg): 90.00 90.10 90.00
Fractional coordinates of all 36 atoms:
Cs 0.001 0.250 0.377
Cs 0.497 0.250 0.123
Cs 0.503 0.750 0.877
Cs 0.999 0.750 0.623
Ti 0.227 0.750 0.255
Ti 0.273 0.250 0.755
Ti 0.727 0.750 0.245
Ti 0.773 0.250 0.745
Co 0.000 0.000 0.000
Co 0.000 0.500 0.000
Co 0.500 0.000 0.500
Co 0.500 0.500 0.500
O 0.002 0.750 0.296
O 0.498 0.250 0.795
O 0.502 0.750 0.205
O 0.998 0.250 0.704
F 0.004 0.250 0.073
F 0.205 0.063 0.875
F 0.205 0.437 0.875
F 0.206 0.564 0.125
F 0.206 0.936 0.125
F 0.293 0.064 0.625
F 0.293 0.436 0.625
F 0.295 0.562 0.375
F 0.295 0.938 0.375
F 0.499 0.250 0.427
F 0.501 0.750 0.573
F 0.705 0.062 0.625
F 0.705 0.438 0.625
F 0.707 0.564 0.375
F 0.707 0.936 0.375
F 0.794 0.064 0.875
F 0.794 0.436 0.875
F 0.795 0.563 0.125
F 0.795 0.937 0.125
F 0.996 0.750 0.927